[1]
Structure and calculated powder diffractogram of Li3CuF6 (the PBE geometry in the Materials Project; Cu Kα).
Intensities are scaled so that the largest is 100.

Main lines, low angle first (2θ from 5° to 70°):
- 2θ 20.60, I 48
- 2θ 21.04, I 100
- 2θ 25.47, I 33
- 2θ 33.28, I 33
- 2θ 40.43, I 17
- 2θ 41.20, I 32
- 2θ 41.89, I 17
- 2θ 42.58, I 12
- 2θ 52.32, I 23
- 2θ 52.94, I 24
- 2θ 64.87, I 12
- 2θ 69.87, I 12

Crystal structure
a = 9.757 Å, b = 8.434 Å, c = 5.018 Å
α = 90.00°, β = 90.00°, γ = 90.00°
Element x y z (fractional)
Li: 0.106 0.047 0.000
Li: 0.125 0.646 0.513
Li: 0.146 0.451 0.008
Li: 0.354 0.951 0.508
Li: 0.375 0.146 0.013
Li: 0.394 0.547 0.500
Li: 0.606 0.453 0.000
Li: 0.625 0.854 0.513
Li: 0.646 0.049 0.008
Li: 0.854 0.549 0.508
Li: 0.875 0.354 0.013
Li: 0.894 0.953 0.500
Cu: 0.128 0.260 0.505
Cu: 0.372 0.760 0.005
Cu: 0.628 0.240 0.505
Cu: 0.872 0.740 0.005
F: 0.010 0.415 0.328
F: 0.023 0.253 0.828
F: 0.026 0.092 0.347
F: 0.226 0.440 0.652
F: 0.238 0.269 0.190
F: 0.247 0.112 0.688
F: 0.253 0.612 0.188
F: 0.262 0.769 0.690
F: 0.274 0.940 0.152
F: 0.474 0.592 0.847
F: 0.477 0.753 0.328
F: 0.490 0.915 0.828
F: 0.510 0.085 0.328
F: 0.523 0.247 0.828
F: 0.526 0.408 0.347
F: 0.726 0.060 0.652
F: 0.738 0.231 0.190
F: 0.747 0.388 0.688
F: 0.753 0.888 0.188
F: 0.762 0.731 0.690
F: 0.774 0.560 0.152
F: 0.974 0.908 0.847
F: 0.977 0.747 0.328
F: 0.990 0.585 0.828

[2]
Structure and calculated powder diffractogram of Tb2ZrAl9 (the PBE geometry in the Materials Project; Cu Kα).
Intensities are scaled so that the largest is 100.

Main lines, low angle first (2θ from 5° to 70°):
- 2θ 21.06, I 78
- 2θ 29.95, I 66
- 2θ 36.90, I 100
- 2θ 42.83, I 33
- 2θ 42.97, I 16
- 2θ 48.20, I 24
- 2θ 48.31, I 12
- 2θ 53.18, I 27
- 2θ 62.17, I 11
- 2θ 62.28, I 21
- 2θ 66.43, I 7
- 2θ 66.51, I 9

Crystal structure
a = 4.223 Å, b = 4.223 Å, c = 12.630 Å
α = 90.00°, β = 90.00°, γ = 90.00°
Element x y z (fractional)
Tb: 0.000 0.000 0.171
Tb: 0.000 0.000 0.829
Zr: 0.000 0.000 0.500
Al: 0.000 0.500 0.000
Al: 0.000 0.500 0.341
Al: 0.000 0.500 0.659
Al: 0.500 0.000 0.000
Al: 0.500 0.000 0.341
Al: 0.500 0.000 0.659
Al: 0.500 0.500 0.168
Al: 0.500 0.500 0.500
Al: 0.500 0.500 0.832

[3]
Structure and calculated powder diffractogram of KNb2PSe10 (the PBE geometry in the Materials Project; Cu Kα).
Intensities are scaled so that the largest is 100.

Main lines, low angle first (2θ from 5° to 70°):
- 2θ 11.00, I 90
- 2θ 12.24, I 100
- 2θ 16.48, I 22
- 2θ 27.03, I 19
- 2θ 28.81, I 21
- 2θ 29.28, I 39
- 2θ 31.03, I 30
- 2θ 32.89, I 30
- 2θ 34.79, I 29
- 2θ 35.20, I 22
- 2θ 43.00, I 16
- 2θ 43.51, I 17

Crystal structure
a = 7.545 Å, b = 16.091 Å, c = 13.780 Å
α = 90.00°, β = 106.60°, γ = 90.00°
Element x y z (fractional)
K: 0.000 0.245 0.000
K: 0.000 0.755 0.500
K: 0.027 0.254 0.528
K: 0.027 0.746 0.028
Nb: 0.443 0.036 0.280
Nb: 0.443 0.964 0.780
Nb: 0.449 0.023 0.988
Nb: 0.449 0.977 0.488
Nb: 0.462 0.474 0.772
Nb: 0.462 0.526 0.272
Nb: 0.468 0.465 0.479
Nb: 0.468 0.535 0.979
P: 0.593 0.202 0.149
P: 0.593 0.798 0.649
P: 0.612 0.297 0.660
P: 0.612 0.703 0.160
Se: 0.179 0.057 0.823
Se: 0.179 0.943 0.323
Se: 0.192 0.030 0.094
Se: 0.192 0.970 0.594
Se: 0.195 0.081 0.374
Se: 0.195 0.919 0.874
Se: 0.201 0.441 0.859
Se: 0.201 0.559 0.359
Se: 0.210 0.469 0.587
Se: 0.210 0.531 0.087
Se: 0.212 0.421 0.310
Se: 0.212 0.579 0.810
Se: 0.395 0.203 0.244
Se: 0.395 0.797 0.744
Se: 0.400 0.083 0.634
Se: 0.400 0.917 0.134
Se: 0.410 0.306 0.751
Se: 0.410 0.694 0.251
Se: 0.420 0.418 0.113
Se: 0.420 0.582 0.613
Se: 0.445 0.196 0.983
Se: 0.445 0.804 0.483
Se: 0.472 0.291 0.492
Se: 0.472 0.709 0.992
Se: 0.695 0.083 0.454
Se: 0.695 0.917 0.954
Se: 0.699 0.070 0.173
Se: 0.699 0.930 0.673
Se: 0.714 0.053 0.897
Se: 0.714 0.947 0.397
Se: 0.718 0.430 0.668
Se: 0.718 0.433 0.946
Se: 0.718 0.567 0.446
Se: 0.718 0.570 0.168
Se: 0.730 0.432 0.384
Se: 0.730 0.568 0.884
Se: 0.800 0.300 0.188
Se: 0.800 0.700 0.688
Se: 0.818 0.200 0.714
Se: 0.818 0.800 0.214

[4]
Structure and calculated powder diffractogram of Si (the PBE geometry in the Materials Project; Cu Kα).
Intensities are scaled so that the largest is 100.

Main lines, low angle first (2θ from 5° to 70°):
- 2θ 14.85, I 38
- 2θ 25.87, I 10
- 2θ 29.96, I 8
- 2θ 36.46, I 43
- 2θ 39.57, I 5
- 2θ 39.99, I 100
- 2θ 45.25, I 4
- 2θ 45.63, I 2
- 2θ 47.89, I 4
- 2θ 55.22, I 75
- 2θ 55.55, I 2
- 2θ 68.29, I 2

Crystal structure
a = 6.887 Å, b = 6.887 Å, c = 2.464 Å
α = 90.00°, β = 90.00°, γ = 120.00°
Element x y z (fractional)
Si: 0.145 0.719 0.000
Si: 0.281 0.427 0.000
Si: 0.427 0.145 0.000
Si: 0.573 0.855 0.000
Si: 0.719 0.573 0.000
Si: 0.855 0.281 0.000

[5]
Structure and calculated powder diffractogram of Eu2CdGe (the PBE geometry in the Materials Project; Cu Kα).
Intensities are scaled so that the largest is 100.

Main lines, low angle first (2θ from 5° to 70°):
- 2θ 20.00, I 1
- 2θ 23.14, I 6
- 2θ 32.95, I 100
- 2θ 38.85, I 1
- 2θ 40.65, I 2
- 2θ 47.29, I 18
- 2θ 53.28, I 3
- 2θ 58.84, I 37
- 2θ 69.11, I 11

Crystal structure
a = 5.437 Å, b = 5.437 Å, c = 5.437 Å
α = 60.00°, β = 60.00°, γ = 60.00°
Element x y z (fractional)
Eu: 0.250 0.250 0.250
Eu: 0.750 0.750 0.750
Cd: 0.000 0.000 0.000
Ge: 0.500 0.500 0.500

[6]
Structure and calculated powder diffractogram of ScCoSi (the PBE geometry in the Materials Project; Cu Kα).
Intensities are scaled so that the largest is 100.

Main lines, low angle first (2θ from 5° to 70°):
- 2θ 12.12, I 43
- 2θ 25.35, I 6
- 2θ 30.78, I 14
- 2θ 36.91, I 16
- 2θ 39.64, I 8
- 2θ 40.02, I 100
- 2θ 45.07, I 13
- 2θ 47.41, I 7
- 2θ 50.43, I 16
- 2θ 51.21, I 14
- 2θ 56.61, I 8
- 2θ 69.93, I 6

Crystal structure
a = 7.526 Å, b = 7.526 Å, c = 3.568 Å
α = 90.00°, β = 90.00°, γ = 152.17°
Element x y z (fractional)
Sc: 0.095 0.905 0.750
Sc: 0.905 0.095 0.250
Co: 0.450 0.550 0.750
Co: 0.550 0.450 0.250
Si: 0.254 0.746 0.250
Si: 0.746 0.254 0.750

[7]
Structure and calculated powder diffractogram of Sr4CaSm2Ta2O12 (the PBE geometry in the Materials Project; Cu Kα).
Intensities are scaled so that the largest is 100.

Main lines, low angle first (2θ from 5° to 70°):
- 2θ 19.04, I 26
- 2θ 20.81, I 35
- 2θ 21.66, I 24
- 2θ 26.77, I 22
- 2θ 27.38, I 37
- 2θ 28.34, I 77
- 2θ 29.63, I 44
- 2θ 30.20, I 100
- 2θ 30.53, I 55
- 2θ 42.31, I 23
- 2θ 44.14, I 28
- 2θ 46.76, I 35

Crystal structure
a = 6.336 Å, b = 6.349 Å, c = 8.254 Å
α = 85.44°, β = 85.51°, γ = 84.69°
Element x y z (fractional)
Sr: 0.000 0.000 0.000
Sr: 0.045 0.930 0.494
Sr: 0.473 0.242 0.914
Sr: 0.646 0.357 0.486
Ca: 0.747 0.531 0.071
Sm: 0.184 0.462 0.233
Sm: 0.527 0.805 0.739
Ta: 0.065 0.388 0.717
Ta: 0.580 0.925 0.251
O: 0.051 0.333 0.482
O: 0.085 0.391 0.967
O: 0.249 0.076 0.743
O: 0.305 0.084 0.227
O: 0.346 0.524 0.679
O: 0.464 0.637 0.290
O: 0.621 0.878 0.005
O: 0.629 0.958 0.481
O: 0.733 0.192 0.196
O: 0.816 0.211 0.759
O: 0.881 0.651 0.704
O: 0.908 0.733 0.241

[8]
Structure and calculated powder diffractogram of KPrZrNbO6 (the PBE geometry in the Materials Project; Cu Kα).
Intensities are scaled so that the largest is 100.

Main lines, low angle first (2θ from 5° to 70°):
- 2θ 18.63, I 19
- 2θ 21.55, I 2
- 2θ 30.66, I 100
- 2θ 36.11, I 12
- 2θ 37.78, I 3
- 2θ 43.90, I 35
- 2θ 48.08, I 5
- 2θ 49.41, I 1
- 2θ 54.50, I 39
- 2θ 58.11, I 4
- 2θ 63.83, I 21
- 2θ 67.13, I 4

Crystal structure
a = 5.833 Å, b = 5.833 Å, c = 5.833 Å
α = 60.00°, β = 60.00°, γ = 60.00°
Element x y z (fractional)
K: 0.000 0.000 0.000
Pr: 0.500 0.500 0.500
Zr: 0.250 0.250 0.250
Nb: 0.750 0.750 0.750
O: 0.505 0.505 0.995
O: 0.505 0.995 0.505
O: 0.505 0.995 0.995
O: 0.995 0.505 0.505
O: 0.995 0.505 0.995
O: 0.995 0.995 0.505